This entry pairs a crystal structure of Gd3MnGaS7 with its calculated X-ray diffraction stick pattern. Radiation: a wavelength of 1.5418 Å. Structure: a PBE-relaxed structure.
Kinematic intensities with the Lorentz-polarization factor, no thermal factor.

The 10 most intense peaks (10 to 80 degrees two-theta), in order of falling intensity:
- 25.54°, rel. 1000, (2 0 1)
- 36.28°, rel. 391, (2 0 2)
- 36.57°, rel. 331, (2 2 0)
- 27.73°, rel. 314, (1 2 0)
- 34.88°, rel. 299, (3 0 1)
- 40.81°, rel. 296, (1 2 2)
- 41.00°, rel. 295, (3 1 1)
- 23.26°, rel. 290, (1 1 1)
- 49.01°, rel. 245, (4 1 0)
- 17.91°, rel. 244, (1 0 1)

Crystal structure
```
Gd3MnGaS7
1.0
9.8298 0.0000 0.0000
-4.9149 8.5128 0.0000
0.0000 0.0000 6.0878
Gd Mn Ga S
6 2 2 14
direct
0.1406 0.3757 0.0000 Gd
0.2351 0.8594 0.0000 Gd
0.3757 0.2351 0.5000 Gd
0.6243 0.7649 0.0000 Gd
0.7649 0.1406 0.5000 Gd
0.8594 0.6243 0.5000 Gd
0.0000 0.0000 0.2827 Mn
0.0000 0.0000 0.7827 Mn
0.3333 0.6667 0.4265 Ga
0.6667 0.3333 0.9265 Ga
0.0934 0.5786 0.2649 S
0.0944 0.2410 0.5613 S
0.1466 0.9056 0.5613 S
0.2410 0.1466 0.0613 S
0.3333 0.6667 0.7962 S
0.4214 0.5148 0.2649 S
0.4852 0.9066 0.2649 S
0.5148 0.0934 0.7649 S
0.5786 0.4852 0.7649 S
0.6667 0.3333 0.2962 S
0.7590 0.8534 0.5613 S
0.8534 0.0944 0.0613 S
0.9056 0.7590 0.0613 S
0.9066 0.4214 0.7649 S
```